Starting from a cell relaxed with GGA-PBE, the powder diffraction line list of Ni3Sn2 was simulated for Cu Ka.

Atomic structure:
```
data_Ni3Sn2
_cell_length_a 7.1348
_cell_length_b 5.2164
_cell_length_c 8.1929
_cell_angle_alpha 90.00
_cell_angle_beta 90.00
_cell_angle_gamma 90.00
_space_group_name_H-M_alt 'P n m a'
_space_group_IT_number 62
loop_
_space_group_symop_operation_xyz
'x,y,z'
'-x,-y,-z'
'-x+1/2,-y,z+1/2'
'x+1/2,y,-z+1/2'
'x+1/2,-y+1/2,-z+1/2'
'-x+1/2,y+1/2,z+1/2'
'-x,y+1/2,-z'
'x,-y+1/2,z'
loop_
_atom_site_label
_atom_site_type_symbol
_atom_site_fract_x
_atom_site_fract_y
_atom_site_fract_z
_atom_site_occupancy
Ni1 Ni 0.0908 0.2500 0.1267 1
Ni2 Ni 0.2354 0.5046 0.8761 1
Sn1 Sn 0.0604 0.7500 0.5958 1
Sn2 Sn 0.0969 0.7500 0.1422 1
```

Peak list (12 most intense, 5° ≤ 2θ ≤ 70°, sorted by position)
- 2θ = 30.42°, d = 2.939 Å, I 68.9
- 2θ = 34.38°, d = 2.608 Å, I 12.7
- 2θ = 35.19°, d = 2.551 Å, I 9.4
- 2θ = 37.16°, d = 2.419 Å, I 8.1
- 2θ = 43.00°, d = 2.104 Å, I 100.0
- 2θ = 44.03°, d = 2.057 Å, I 67.1
- 2θ = 44.22°, d = 2.048 Å, I 31.2
- 2θ = 44.43°, d = 2.039 Å, I 7.9
- 2θ = 57.02°, d = 1.615 Å, I 10.1
- 2θ = 59.14°, d = 1.562 Å, I 12.9
- 2θ = 63.15°, d = 1.472 Å, I 8.2
- 2θ = 63.35°, d = 1.468 Å, I 18.9